# 1
# La3PtRh
Simulated PXRD pattern, Cu Ka. Input: a DFT-relaxed cell (GGA-PBE, Alexandria).

```
La3PtRh
1.0
8.657 0.000 0.000
0.000 4.035 0.000
-1.944 0.000 8.470
La Pt Rh
6 2 2
Direct
0.011 0.250 0.206
0.321 0.750 0.578
0.365 0.750 0.106
0.635 0.250 0.894
0.679 0.250 0.422
0.989 0.750 0.794
0.263 0.250 0.834
0.737 0.750 0.166
0.332 0.250 0.336
0.668 0.750 0.664
```

Principal peaks in the range 2θ from 10° to 90°, by angle:
two_theta  I (rel.)
10.47  23.1
21.03  30.6
27.59  20.1
30.61  74.4
30.81  100.0
31.82  45.7
38.51  23.1
40.17  43.5
40.97  20.1
41.58  27.3
44.93  31.2
56.09  22.5


# 2
# Ba2InAs3Pd4
Simulated PXRD pattern, Cu Ka. Input: a DFT-relaxed cell (GGA-PBE, Alexandria).

```
Ba2InAs3Pd4
1.0
4.576 0.000 0.000
0.000 4.576 0.000
0.000 0.000 10.669
Ba In As Pd
2 1 3 4
Direct
0.000 0.500 0.240
0.500 0.000 0.760
0.000 0.000 0.500
0.000 0.500 0.880
0.500 0.000 0.120
0.500 0.500 0.500
0.000 0.000 0.000
0.000 0.500 0.638
0.500 0.000 0.362
0.500 0.500 0.000
```

Principal peaks in the range 2θ from 10° to 90°, by angle:
two_theta  I (rel.)
31.87  51.9
32.36  100.0
39.38  65.3
44.00  23.1
46.99  21.2
51.53  26.3
56.92  21.9
59.30  12.3
62.93  17.6
67.01  23.7
74.62  9.1
83.99  12.4


# 3
# La2SmDySb4
Simulated PXRD pattern, Cu Ka. Input: a DFT-relaxed cell (GGA-PBE, Alexandria).

```
La2SmDySb4
1.0
7.832 0.000 0.000
0.000 4.533 0.000
-2.620 0.000 7.395
La Sm Dy Sb
2 1 1 4
Direct
0.000 0.000 0.000
0.000 0.500 0.500
0.500 0.000 0.500
0.500 0.500 0.000
0.260 0.500 0.251
0.262 0.000 0.756
0.738 0.000 0.244
0.740 0.500 0.749
```

Principal peaks in the range 2θ from 10° to 90°, by angle:
two_theta  I (rel.)
24.07  1.7
27.87  100.0
39.82  76.4
49.27  20.7
49.38  6.7
57.58  12.8
65.13  23.5
65.20  11.4
72.26  19.4
72.39  6.2
85.78  4.2
85.94  4.0


# 4
# Ho3ZnAg2
Simulated PXRD pattern, Cu Ka. Input: a DFT-relaxed cell (GGA-PBE, Alexandria).

```
Ho3ZnAg2
1.0
5.097 0.000 0.000
-2.548 4.414 0.000
0.000 0.000 12.428
Ho Zn Ag
6 2 4
Direct
0.000 0.000 0.248
0.000 0.000 0.752
0.333 0.667 0.415
0.333 0.667 0.918
0.667 0.333 0.082
0.667 0.333 0.585
0.333 0.667 0.168
0.667 0.333 0.832
0.000 0.000 0.000
0.000 0.000 0.500
0.333 0.667 0.671
0.667 0.333 0.329
```

Principal peaks in the range 2θ from 10° to 90°, by angle:
two_theta  I (rel.)
24.74  14.6
35.22  100.0
35.33  98.9
43.52  3.5
50.74  34.9
57.17  3.4
63.25  53.3
63.48  17.5
74.46  11.0
74.73  10.8
85.20  15.7
85.39  15.5


# 5
# Ca3UN4
Simulated PXRD pattern, Cu Ka. Input: a DFT-relaxed cell (GGA-PBE, Alexandria).

```
Ca3UN4
1.0
4.889 0.000 0.000
0.000 4.889 0.000
0.000 0.000 10.014
Ca U N
6 2 8
Direct
0.000 0.000 0.000
0.000 0.500 0.250
0.000 0.500 0.750
0.500 0.000 0.250
0.500 0.000 0.750
0.500 0.500 0.500
0.000 0.000 0.500
0.500 0.500 0.000
0.000 0.000 0.298
0.000 0.000 0.702
0.000 0.500 0.000
0.000 0.500 0.500
0.500 0.000 0.000
0.500 0.000 0.500
0.500 0.500 0.202
0.500 0.500 0.798
```

Principal peaks in the range 2θ from 10° to 90°, by angle:
two_theta  I (rel.)
17.71  32.3
20.21  100.0
25.77  25.8
31.45  86.7
32.48  22.7
35.87  25.3
36.77  51.4
41.09  16.7
42.31  31.9
52.31  32.7
52.97  16.9
62.92  37.3


# 6
# Pr3Sm2Y7
Simulated PXRD pattern, Cu Ka. Input: a DFT-relaxed cell (GGA-PBE, Alexandria).

```
Pr3Sm2Y7
1.0
5.905 0.000 0.000
0.000 3.619 0.000
-1.050 0.000 18.999
Pr Sm Y
3 2 7
Direct
0.000 0.000 0.000
0.278 0.500 0.633
0.722 0.500 0.367
0.210 0.000 0.292
0.790 0.000 0.708
0.189 0.500 0.143
0.243 0.000 0.462
0.308 0.000 0.826
0.500 0.500 0.000
0.692 0.000 0.174
0.757 0.000 0.538
0.811 0.500 0.857
```

Principal peaks in the range 2θ from 10° to 90°, by angle:
two_theta  I (rel.)
28.18  24.0
30.21  33.7
30.32  26.7
30.43  42.0
30.74  100.0
31.07  42.2
31.31  45.8
31.91  19.5
32.83  36.0
34.21  42.0
50.44  21.3
53.50  42.6


# 7
# Li2PmPb9
Simulated PXRD pattern, Cu Ka. Input: a DFT-relaxed cell (GGA-PBE, Alexandria).

```
Li2PmPb9
1.0
4.823 0.000 0.000
0.000 4.823 0.000
0.000 0.000 14.881
Li Pm Pb
2 1 9
Direct
0.000 0.000 0.167
0.000 0.000 0.833
0.000 0.000 0.500
0.000 0.500 0.000
0.000 0.500 0.326
0.000 0.500 0.674
0.500 0.000 0.000
0.500 0.000 0.326
0.500 0.000 0.674
0.500 0.500 0.162
0.500 0.500 0.500
0.500 0.500 0.838
```

Principal peaks in the range 2θ from 10° to 90°, by angle:
two_theta  I (rel.)
18.39  9.6
25.76  8.8
31.84  100.0
36.22  17.4
37.29  33.4
52.96  23.9
53.76  11.9
62.42  14.2
63.85  28.4
66.55  12.2
86.89  12.3
88.17  6.3


# 8
# Li7B18O
Simulated PXRD pattern, Cu Ka. Input: a DFT-relaxed cell (GGA-PBE, Alexandria).

```
Li7B18O
1.0
8.178 0.000 0.000
0.000 4.115 0.000
-4.075 0.000 7.091
Li B O
7 18 1
Direct
0.000 0.000 0.000
0.064 0.000 0.598
0.406 0.000 0.255
0.471 0.000 0.854
0.658 0.000 0.661
0.737 0.500 0.927
0.812 0.000 0.192
0.061 0.500 0.804
0.063 0.500 0.376
0.185 0.500 0.254
0.187 0.500 0.050
0.235 0.199 0.426
0.235 0.202 0.926
0.235 0.798 0.926
0.235 0.801 0.426
0.282 0.500 0.803
0.285 0.500 0.598
0.407 0.500 0.476
0.408 0.500 0.048
0.611 0.500 0.474
0.613 0.500 0.253
0.735 0.201 0.426
0.735 0.799 0.426
0.857 0.500 0.600
0.858 0.500 0.379
0.736 0.000 0.927
```

Principal peaks in the range 2θ from 10° to 90°, by angle:
two_theta  I (rel.)
12.49  45.8
21.60  22.3
25.08  100.0
25.16  23.8
30.82  13.0
40.16  14.5
44.01  11.3
49.78  21.2
56.39  9.5
56.55  7.4
59.77  6.9
77.13  11.8